The following is a calculated X-ray powder pattern of BaAlInAu3. It was derived from a cell relaxed with PBE, using Cu Kα (weighted mean of Kα1 and Kα2).
Kinematic intensities with the Lorentz-polarization factor, no thermal factor.

Structural model:
```
12
Lattice="3.624 -6.593 0.000 3.624 6.593 0.000 0.000 0.000 6.903" Properties=species:S:1:pos:R:3 pbc="T T T"
Ba 3.624 3.631 5.177
Ba 3.624 -3.631 1.726
Al 3.624 5.425 1.726
Al 3.624 -5.425 5.177
In 3.624 0.239 1.726
In 3.624 -0.239 5.177
Au 1.462 0.000 0.000
Au 1.462 0.000 3.451
Au 3.624 2.968 1.726
Au 3.624 -2.968 5.177
Au 5.785 0.000 0.000
Au 5.785 0.000 3.451
```

Main lines, in order of falling intensity (2θ = 10–80°):
2θ 35.93, intensity 100; 2θ 27.05, intensity 92; 2θ 29.21, intensity 91; 2θ 28.10, intensity 78; 2θ 45.55, intensity 75; 2θ 13.43, intensity 35; 2θ 29.45, intensity 26; 2θ 50.34, intensity 26; 2θ 37.86, intensity 24; 2θ 53.07, intensity 21; 2θ 60.56, intensity 20; 2θ 61.12, intensity 18